Diffraction record for Li4Mn5O9F. The powder diffractogram is calculated, not measured: it uses the PBE+U geometry in Alexandria and Cu Ka.

Top 8 peaks for 2θ from 10° to 90°, by angle:
2θ/deg  d/Å  I_rel  h k l
17.92  4.951  1000  0 1 -1
33.38  2.685  148  -1 1 2
35.26  2.545  133  1 0 2
35.59  2.522  130  2 0 -1
39.86  2.261  283  -1 2 1
43.02  2.102  229  1 -1 3
43.64  2.074  221  2 1 -2
60.58  1.529  129  -3 1 3

Cell and atoms:
```
data_Li4Mn5O9F
_chemical_formula_sum 'Li4 Mn5 O9 F1'
_cell_length_a 5.171
_cell_length_b 5.406
_cell_length_c 7.882
_cell_angle_alpha 105.96
_cell_angle_beta 102.86
_cell_angle_gamma 102.57
_symmetry_space_group_name_H-M 'P 1'
_symmetry_Int_Tables_number 1
_symmetry_space_group_name_Hall 'P 1'
loop_
_atom_site_label
_atom_site_fract_x
_atom_site_fract_y
_atom_site_fract_z
_atom_site_occupancy
Li1 0.000 0.000 0.000 1
Li2 0.184 0.389 0.384 1
Li3 0.399 0.760 0.767 1
Li4 0.779 0.536 0.551 1
Mn1 0.077 0.170 0.677 1
Mn2 0.293 0.566 0.084 1
Mn3 0.486 0.980 0.473 1
Mn4 0.675 0.370 0.883 1
Mn5 0.885 0.763 0.279 1
O1 0.148 0.791 0.516 1
O2 0.224 0.920 0.224 1
O3 0.288 0.212 0.920 1
O4 0.425 0.372 0.646 1
O5 0.562 0.611 0.344 1
O6 0.639 0.718 0.029 1
O7 0.724 0.035 0.732 1
O8 0.841 0.170 0.449 1
O9 0.949 0.384 0.107 1
F1 0.035 0.619 0.816 1
```